Structure and calculated XRD peak list of Na2ZrH4C6O14 (a DFT-relaxed cell (PBE, OQMD); Cu Kα (weighted mean of Kα1 and Kα2)).
No peak broadening, texture or thermal motion is included.

a = 13.4300 Å, b = 10.1503 Å, c = 8.7797 Å
α = 90.00°, β = 95.32°, γ = 90.00°
Space group C2/c (No. 15)
Symmetry-distinct sites (fractional):
Na  0.2454  0.0990  0.4168 (multiplicity 8)
Zr  0.0000  0.1915  0.7500 (multiplicity 4)
H  0.0831  0.2948  0.4225 (multiplicity 8)
H  0.1412  0.3459  0.2877 (multiplicity 8)
C  0.0531  0.0184  0.4880 (multiplicity 8)
C  0.1068  0.3633  0.0018 (multiplicity 8)
C  0.1727  0.3653  0.8682 (multiplicity 8)
O  0.0290  0.2884  0.9773 (multiplicity 8)
O  0.0898  0.0324  0.8732 (multiplicity 8)
O  0.0968  0.0972  0.5817 (multiplicity 8)
O  0.1299  0.4290  0.1187 (multiplicity 8)
O  0.1324  0.3052  0.7465 (multiplicity 8)
O  0.1501  0.2973  0.3854 (multiplicity 8)
O  0.2450  0.0807  0.1224 (multiplicity 8)

Largest 8 diffraction maxima, by angle, 2θ from 5° to 70°:
2θ 10.94, intensity 33, (1 1 0); 2θ 14.50, intensity 91, (1 1 -1); 2θ 15.34, intensity 100, (1 1 1); 2θ 21.78, intensity 28, (3 1 0); 2θ 23.26, intensity 42, (3 1 -1); 2θ 24.78, intensity 93, (2 2 1); 2θ 43.10, intensity 37, (4 2 -3); 2θ 46.72, intensity 28, (4 4 1)